Computed PXRD pattern of Sr4CaCr2S2O6 for a wavelength of 1.5418 Å, from a DFT-relaxed cell (GGA+U, Alexandria).

Cell and atoms:
```
Sr4CaCr2S2O6
1.0
3.9643 0.0000 0.0000
0.0000 3.9643 0.0000
0.0000 0.0000 16.5825
Sr Ca Cr S O
4 1 2 2 6
Direct
0.0000 0.5000 0.0822 Sr
0.0000 0.5000 0.2957 Sr
0.5000 0.0000 0.7043 Sr
0.5000 0.0000 0.9178 Sr
0.0000 0.0000 0.5000 Ca
0.0000 0.5000 0.8186 Cr
0.5000 0.0000 0.1814 Cr
0.0000 0.5000 0.6126 S
0.5000 0.0000 0.3874 S
0.0000 0.0000 0.1990 O
0.0000 0.0000 0.8010 O
0.0000 0.5000 0.9344 O
0.5000 0.0000 0.0656 O
0.5000 0.5000 0.1987 O
0.5000 0.5000 0.8013 O
```

Top 8 peaks for 2θ from 10° to 80°, by intensity:
| 2theta | Rel. int. |
| --- | --- |
| 31.2 | 100 |
| 31.9 | 57 |
| 45.8 | 43 |
| 56.4 | 36 |
| 39.8 | 28 |
| 10.7 | 22 |
| 23.1 | 14 |
| 62.2 | 14 |